# PmCd2Hg3
Theoretical powder XRD pattern, Cu Kα (λ = 1.5418 Å). Input: DFT lattice parameters and positions (GGA-PBE).
Neutral-atom scattering factors, no anomalous dispersion.

Unit cell a=15.4322 b=4.8060 c=9.3479 alpha=90.00 beta=119.77 gamma=90.00
Space group C2/m (No. 12)
Unique sites:
Pm (0.1393, 0.0000, 0.0059)
Cd (0.0547, 0.5000, 0.1773)
Cd (0.2097, 0.5000, 0.5411)
Hg (0.0498, 0.0000, 0.3806)
Hg (0.1134, 0.5000, 0.7561)
Hg (0.2357, 0.0000, 0.7595)

The 10 most intense peaks (2θ from 5° to 70°), by angle:
| hkl | d [Å] | I (rel.) |
| --- | --- | --- |
| 2 0 -3 | 3.098 | 18 |
| 1 1 2 | 2.796 | 36 |
| 3 1 1 | 2.711 | 82 |
| 4 0 1 | 2.664 | 21 |
| 3 1 -3 | 2.600 | 16 |
| 5 1 -2 | 2.565 | 100 |
| 1 1 -3 | 2.515 | 46 |
| 0 2 0 | 2.403 | 61 |
| 5 1 -3 | 2.342 | 23 |
| 0 0 4 | 2.028 | 17 |

# PmCdHg4
Theoretical powder XRD pattern, Cu Kα (λ = 1.5418 Å). Input: DFT lattice parameters and positions (GGA-PBE).
Neutral-atom scattering factors, no anomalous dispersion.

Unit cell a=14.5619 b=8.4780 c=5.2227 alpha=90.00 beta=103.39 gamma=90.00
Space group C2/m (No. 12)
Unique sites:
Pm (0.2000, 0.0000, 0.1289)
Cd (0.0579, 0.5000, 0.7624)
Hg (0.0000, 0.1885, 0.0000)
Hg (0.1313, 0.1947, 0.5885)
Hg (0.1655, 0.5000, 0.2895)

The 10 most intense peaks (2θ from 5° to 70°), by angle:
| hkl | d [Å] | I (rel.) |
| --- | --- | --- |
| 2 2 1 | 2.804 | 49 |
| 1 3 0 | 2.771 | 57 |
| 4 0 1 | 2.633 | 65 |
| 5 1 -1 | 2.626 | 54 |
| 4 2 -1 | 2.595 | 100 |
| 1 1 -2 | 2.492 | 50 |
| 0 2 2 | 2.179 | 29 |
| 3 3 1 | 2.094 | 38 |
| 1 5 -2 | 1.421 | 22 |
| 5 3 -3 | 1.412 | 23 |

# PmCd2Hg2
Theoretical powder XRD pattern, Cu Kα (λ = 1.5418 Å). Input: DFT lattice parameters and positions (GGA-PBE).
Neutral-atom scattering factors, no anomalous dispersion.

Unit cell a=4.9263 b=4.9263 c=17.6773 alpha=90.00 beta=90.00 gamma=120.00
Space group R-3m (No. 166, hexagonal axes)
Unique sites:
Pm (0.0000, 0.0000, 0.0000)
Cd (0.0000, 0.0000, 0.2032)
Hg (0.0000, 0.0000, 0.4101)

The 10 most intense peaks (2θ from 5° to 70°), by angle:
| hkl | d [Å] | I (rel.) |
| --- | --- | --- |
| 1 0 1 | 4.147 | 7 |
| 0 1 2 | 3.842 | 7 |
| 0 1 5 | 2.722 | 100 |
| 1 1 0 | 2.463 | 80 |
| 1 1 6 | 1.890 | 5 |
| 2 0 5 | 1.826 | 31 |
| 1 0 10 | 1.633 | 18 |
| 1 2 5 | 1.467 | 30 |
| 3 0 0 | 1.422 | 14 |
| 0 2 10 | 1.361 | 10 |

# Pm3CdHg4
Theoretical powder XRD pattern, Cu Kα (λ = 1.5418 Å). Input: DFT lattice parameters and positions (GGA-PBE).
Neutral-atom scattering factors, no anomalous dispersion.

Unit cell a=5.2206 b=5.2206 c=26.9343 alpha=90.00 beta=90.00 gamma=120.00
Space group R-3m (No. 166, hexagonal axes)
Unique sites:
Pm (0.0000, 0.0000, 0.0000)
Pm (0.0000, 0.0000, 0.2404)
Cd (0.0000, 0.0000, 0.5000)
Hg (0.0000, 0.0000, 0.1226)
Hg (0.0000, 0.0000, 0.3704)

The 10 most intense peaks (2θ from 5° to 70°), by angle:
| hkl | d [Å] | I (rel.) |
| --- | --- | --- |
| 1 0 4 | 3.754 | 8 |
| 0 1 8 | 2.700 | 100 |
| 1 1 0 | 2.610 | 98 |
| 1 1 9 | 1.967 | 4 |
| 2 0 8 | 1.877 | 35 |
| 1 1 12 | 1.702 | 3 |
| 1 0 16 | 1.578 | 16 |
| 1 2 8 | 1.524 | 36 |
| 3 0 0 | 1.507 | 18 |
| 0 2 16 | 1.350 | 10 |

# Pm2CdHg3
Theoretical powder XRD pattern, Cu Kα (λ = 1.5418 Å). Input: DFT lattice parameters and positions (GGA-PBE).
Neutral-atom scattering factors, no anomalous dispersion.

Unit cell a=7.0219 b=10.0145 c=17.3882 alpha=90.00 beta=90.00 gamma=90.00
Space group Fmmm (No. 69)
Unique sites:
Pm (0.2466, 0.0000, 0.0000)
Pm (0.2500, 0.2500, 0.2500)
Cd (0.0000, 0.0000, 0.3334)
Hg (0.0000, 0.0000, 0.1679)
Hg (0.0000, 0.2473, 0.4161)

The 10 most intense peaks (2θ from 5° to 70°), by angle:
| hkl | d [Å] | I (rel.) |
| --- | --- | --- |
| 2 0 0 | 3.511 | 13 |
| 2 2 2 | 2.730 | 100 |
| 0 4 0 | 2.507 | 95 |
| 2 4 0 | 2.040 | 18 |
| 2 0 8 | 1.846 | 32 |
| 4 0 0 | 1.755 | 11 |
| 2 4 8 | 1.487 | 21 |
| 2 6 2 | 1.485 | 10 |
| 0 6 6 | 1.446 | 12 |
| 4 4 0 | 1.438 | 34 |

# Pm3CdHg4
Theoretical powder XRD pattern, Cu Kα (λ = 1.5418 Å). Input: DFT lattice parameters and positions (GGA-PBE).
Neutral-atom scattering factors, no anomalous dispersion.

Unit cell a=3.7076 b=7.0924 c=17.4088 alpha=90.00 beta=90.00 gamma=90.00
Space group Immm (No. 71)
Unique sites:
Pm (0.0000, 0.0000, 0.0000)
Pm (0.0000, 0.5000, 0.2190)
Cd (0.0000, 0.0000, 0.5000)
Hg (0.0000, 0.2797, 0.3751)

The 10 most intense peaks (2θ from 5° to 70°), by angle:
| hkl | d [Å] | I (rel.) |
| --- | --- | --- |
| 1 0 1 | 3.626 | 31 |
| 1 0 3 | 3.125 | 27 |
| 1 1 2 | 3.074 | 52 |
| 0 2 4 | 2.749 | 100 |
| 1 0 5 | 2.537 | 80 |
| 1 2 3 | 2.345 | 50 |
| 0 0 8 | 2.176 | 30 |
| 1 0 7 | 2.065 | 24 |
| 2 0 0 | 1.854 | 25 |
| 2 2 4 | 1.537 | 35 |

- Which formula does entry 5 have?
  Pm2CdHg3